No. 1
For MgMn6O6F6, DFT lattice parameters and positions (GGA+U) gives the simulated PXRD pattern in this record (copper Kα).

Cell and atoms:
```
data_MgMn6O6F6
_space_group_name_H-M_alt 'P 1'
_space_group_IT_number 1
_cell_length_a 5.016
_cell_length_b 9.147
_cell_length_c 5.240
_cell_angle_alpha 90.00
_cell_angle_beta 98.92
_cell_angle_gamma 90.00
loop_
_space_group_symop_operation_xyz
'x,y,z'
loop_
_atom_site_label
_atom_site_fract_x
_atom_site_fract_y
_atom_site_fract_z
Mg1 0.000 0.000 0.000
Mn1 0.041 0.337 0.380
Mn2 0.041 0.663 0.380
Mn3 0.435 0.000 0.481
Mn4 0.486 0.184 0.993
Mn5 0.486 0.816 0.993
Mn6 0.672 0.500 0.852
O1 0.224 0.165 0.235
O2 0.224 0.835 0.235
O3 0.319 0.000 0.830
O4 0.716 0.335 0.130
O5 0.716 0.665 0.130
O6 0.899 0.500 0.559
F1 0.203 0.500 0.174
F2 0.344 0.331 0.683
F3 0.344 0.669 0.683
F4 0.731 0.000 0.235
F5 0.769 0.141 0.759
F6 0.769 0.859 0.759
```

Top 12 peaks for 15° ≤ 2θ ≤ 90°, in order of falling intensity:
34.13°, I = 100, hkl 0 3 1; 40.09°, I = 92, hkl 1 3 1; 22.84°, I = 88, hkl 1 0 -1; 20.38°, I = 78, hkl 1 1 0; 30.14°, I = 68, hkl 1 2 -1; 26.76°, I = 63, hkl 1 0 1; 24.85°, I = 45, hkl 1 1 -1; 64.16°, I = 42, hkl 3 3 -1; 28.52°, I = 42, hkl 1 1 1; 34.54°, I = 40, hkl 1 3 0; 42.80°, I = 35, hkl 2 2 -1; 47.76°, I = 34, hkl 2 1 -2

No. 2
For MgMn8O8F8, DFT lattice parameters and positions (GGA+U) gives the simulated PXRD pattern in this record (copper Kα).

Cell and atoms:
```
data_MgMn8O8F8
_space_group_name_H-M_alt 'P 1'
_space_group_IT_number 1
_cell_length_a 4.808
_cell_length_b 4.889
_cell_length_c 12.651
_cell_angle_alpha 90.27
_cell_angle_beta 90.12
_cell_angle_gamma 90.13
loop_
_space_group_symop_operation_xyz
'x,y,z'
loop_
_atom_site_label
_atom_site_fract_x
_atom_site_fract_y
_atom_site_fract_z
Mg1 0.000 0.000 0.000
Mn1 0.010 0.565 0.252
Mn2 0.010 0.577 0.741
Mn3 0.071 0.513 0.499
Mn4 0.323 0.530 0.990
Mn5 0.504 0.989 0.138
Mn6 0.506 0.002 0.379
Mn7 0.514 0.002 0.856
Mn8 0.570 0.074 0.617
O1 0.190 0.742 0.117
O2 0.192 0.758 0.867
O3 0.217 0.719 0.383
O4 0.370 0.225 0.499
O5 0.381 0.141 0.997
O6 0.674 0.816 0.255
O7 0.708 0.853 0.738
O8 0.874 0.351 0.623
F1 0.252 0.781 0.622
F2 0.313 0.249 0.247
F3 0.339 0.297 0.752
F4 0.711 0.727 0.990
F5 0.757 0.806 0.501
F6 0.824 0.298 0.370
F7 0.839 0.232 0.115
F8 0.849 0.243 0.885
```

Top 12 peaks for 15° ≤ 2θ ≤ 90°, in order of falling intensity:
25.99°, I = 100, hkl 1 -1 0; 33.85°, I = 41, hkl 0 1 4; 38.71°, I = 33, hkl -1 1 4; 33.67°, I = 31, hkl 0 1 -4; 50.78°, I = 20, hkl 1 -2 4; 26.93°, I = 19, hkl 1 1 -1; 58.35°, I = 15, hkl 0 0 8; 33.96°, I = 15, hkl 1 0 4; 51.21°, I = 13, hkl -2 1 4; 50.93°, I = 11, hkl -1 2 4; 29.61°, I = 11, hkl -1 1 2; 43.91°, I = 10, hkl 1 -2 2